Diffraction record for La2TcB10. The XRD peak list is calculated, not measured: it uses a DFT-relaxed cell (GGA-PBE, Alexandria) and Cu Kα.
No peak broadening, texture or thermal motion is included.

Cell and atoms:
Cell: 5.8244 11.6248 4.2397 Å, 90.00 90.00 90.00°
Positions (direct):
La (0.2183, 0.1334, 0.0000)
La (0.2817, 0.6334, 0.0000)
La (0.7183, 0.3666, 0.0000)
La (0.7817, 0.8666, 0.0000)
Tc (0.0000, 0.5000, 0.5000)
Tc (0.5000, 0.0000, 0.5000)
B (0.0641, 0.3071, 0.5000)
B (0.1187, 0.9569, 0.5000)
B (0.1301, 0.8026, 0.5000)
B (0.2249, 0.3813, 0.2015)
B (0.2249, 0.3813, 0.7985)
B (0.2751, 0.8813, 0.2015)
B (0.2751, 0.8813, 0.7985)
B (0.3699, 0.3026, 0.5000)
B (0.3813, 0.4569, 0.5000)
B (0.4359, 0.8071, 0.5000)
B (0.5641, 0.1929, 0.5000)
B (0.6187, 0.5431, 0.5000)
B (0.6301, 0.6974, 0.5000)
B (0.7249, 0.1187, 0.2015)
B (0.7249, 0.1187, 0.7985)
B (0.7751, 0.6187, 0.2015)
B (0.7751, 0.6187, 0.7985)
B (0.8699, 0.1974, 0.5000)
B (0.8813, 0.0431, 0.5000)
B (0.9359, 0.6929, 0.5000)

Peak list (10 most intense, 10° ≤ 2θ ≤ 90°, by angle)
d [Å]	two_theta	I_rel	(hkl)
4.114	21.60	61	1 2 0
3.288	27.12	25	1 1 1
2.953	30.27	92	1 2 1
2.909	30.74	19	0 4 0
2.399	37.49	100	0 4 1
2.120	42.65	19	0 0 2
2.057	44.02	31	2 4 0
1.884	48.30	25	1 2 2
1.688	54.36	21	1 6 1
1.389	67.40	19	1 6 2